1.
The following is a simulated X-ray powder pattern of Nb4Bi2CN. It was derived from DFT lattice parameters and positions (PBE), using Cu Kα (λ = 1.5418 Å).

Peak list (8 most intense, 10 to 90 degrees two-theta, low angle first)
index	two_theta	I/Imax
1 0 0	30.2	24
1 0 3	36.4	100
0 0 6	40.2	16
0 1 6	51.1	14
1 1 0	53.7	23
0 2 3	66.6	17
1 1 6	69.2	19
1 0 9	70.6	14

Cell: 3.4124 3.4124 13.4622 Å, 90.00 90.00 120.00°
Space group P-3m1 (No. 164)
One atom of each set of equivalent atoms:
Nb1 0.3333 0.6667 0.0788
Nb2 0.3333 0.6667 0.4251
Bi1 0.3333 0.6667 0.7477
C1 0.0000 0.0000 0.0000
N1 0.0000 0.0000 0.5000

***

2.
The following is a simulated X-ray powder pattern of Y4Lu2Si3C3. It was derived from DFT lattice parameters and positions (PBE), using Cu Kα (λ = 1.5418 Å).

Peak list (8 most intense, 10 to 90 degrees two-theta, low angle first)
index	two_theta	I/Imax
0 0 2	12.1	28
0 2 0	28.6	22
3 1 -2	29.2	18
3 1 2	34.1	100
0 0 6	36.9	17
3 3 -1	50.7	14
3 3 5	64.3	11
3 1 8	64.6	13

Cell: 10.850 6.235 15.066 Å, 90.00 103.86 90.00°
Space group C2/c (No. 15)
One atom of each set of equivalent atoms:
Y1 0.116 0.080 0.093
Y2 0.221 0.083 0.407
Lu1 0.054 0.417 0.913
Si1 0.000 0.033 0.250
Si2 0.115 0.383 0.250
C1 0.083 0.254 0.504
C2 0.250 0.250 0.000

***

3.
The following is a simulated X-ray powder pattern of BPt2O3. It was derived from DFT lattice parameters and positions (PBE), using Cu Kα (λ = 1.5418 Å).

Peak list (8 most intense, 10 to 90 degrees two-theta, low angle first)
index	two_theta	I/Imax
1 0 -1	25.8	99
1 0 1	29.1	65
0 1 1	33.9	83
0 0 2	35.4	48
1 1 0	36.0	100
1 1 -2	49.3	32
1 1 2	53.3	33
2 1 -1	53.8	27

Cell: 4.253 3.097 5.110 Å, 90.00 96.96 90.00°
Space group Pm (No. 6)
One atom of each set of equivalent atoms:
B1 0.000 0.000 0.000
Pt1 0.332 0.500 0.933
Pt2 0.881 0.000 0.400
O1 0.146 0.500 0.554
O2 0.595 0.500 0.283
O3 0.729 0.000 0.832

***

4.
The following is a simulated X-ray powder pattern of Nd2Fe15Co2H3. It was derived from DFT lattice parameters and positions (PBE), using Cu Kα (λ = 1.5418 Å).

Peak list (8 most intense, 10 to 90 degrees two-theta, low angle first)
index	two_theta	I/Imax
1 1 3	30.3	41
3 0 0	36.4	41
0 2 4	38.2	31
2 2 0	42.2	72
3 0 3	42.8	100
0 0 6	44.5	45
2 2 3	48.0	22
1 4 3	61.7	21

Cell: 8.5609 8.5609 12.2156 Å, 90.00 90.00 120.00°
Space group R-3m (No. 166, hexagonal axes)
One atom of each set of equivalent atoms:
Nd1 0.0000 0.0000 0.1562
Fe1 0.0000 0.2831 0.5000
Fe2 0.0000 0.5000 0.0000
Fe3 0.0066 0.5033 0.3431
Co1 0.0000 0.0000 0.4060
H1 0.0000 0.5000 0.5000

***

5.
The following is a simulated X-ray powder pattern of Pr5Sn10Ir4. It was derived from DFT lattice parameters and positions (PBE), using Cu Kα (λ = 1.5418 Å).

Peak list (8 most intense, 10 to 90 degrees two-theta, low angle first)
index	two_theta	I/Imax
3 2 1	29.7	39
4 0 1	31.7	54
5 1 0	32.3	80
3 3 1	32.9	100
4 2 1	34.2	30
0 0 2	38.4	69
6 1 0	38.7	33
5 4 0	40.8	40

Cell: 14.166 14.166 4.684 Å, 90.00 90.00 90.00°
Space group P4/mbm (No. 127)
One atom of each set of equivalent atoms:
Pr1 0.000 0.000 0.000
Pr2 0.112 0.388 0.500
Pr3 0.177 0.677 0.500
Sn1 0.005 0.838 0.500
Sn2 0.070 0.570 0.000
Sn3 0.156 0.198 0.000
Ir1 0.026 0.754 0.000

***

6.
The following is a simulated X-ray powder pattern of HoLuGe2Os. It was derived from DFT lattice parameters and positions (PBE), using Cu Kα (λ = 1.5418 Å).

Peak list (8 most intense, 10 to 90 degrees two-theta, low angle first)
index	two_theta	I/Imax
1 1 -2	27.4	21
3 1 -1	32.8	24
1 1 2	33.5	100
4 0 -1	34.4	36
3 1 -3	37.0	54
3 1 1	40.6	47
0 0 4	40.9	23
0 2 0	42.2	44

Cell: 10.697 4.282 10.003 Å, 90.00 118.10 90.00°
Space group C2/m (No. 12)
One atom of each set of equivalent atoms:
Ho1 0.005 0.000 0.177
Lu1 0.182 0.000 0.615
Ge1 0.015 0.500 0.377
Ge2 0.142 0.500 0.062
Os1 0.230 0.500 0.866

***

7.
The following is a simulated X-ray powder pattern of ScGa2Cu5. It was derived from DFT lattice parameters and positions (PBE), using Cu Kα (λ = 1.5418 Å).

Peak list (8 most intense, 10 to 90 degrees two-theta, low angle first)
index	two_theta	I/Imax
0 0 1	14.8	4
2 0 0	42.3	52
1 1 2	42.4	100
1 1 3	55.0	2
2 2 0	61.3	16
0 0 4	61.8	7
3 1 2	77.4	30
2 0 4	77.7	14

Cell: 4.275 4.275 6.004 Å, 90.00 90.00 90.00°
Space group P4/mmm (No. 123)
One atom of each set of equivalent atoms:
Sc1 0.000 0.000 0.000
Ga1 0.000 0.000 0.500
Ga2 0.500 0.500 0.000
Cu1 0.000 0.500 0.268
Cu2 0.500 0.500 0.500

***

8.
The following is a simulated X-ray powder pattern of DyY2Tm2Lu2Cu2Te2. It was derived from DFT lattice parameters and positions (PBE), using Cu Kα (λ = 1.5418 Å).

Peak list (8 most intense, 10 to 90 degrees two-theta, low angle first)
index	two_theta	I/Imax
1 0 1	24.4	23
1 1 2	30.0	59
0 5 1	30.6	29
0 3 3	33.2	73
1 4 1	33.9	100
1 3 2	34.3	72
2 0 0	46.0	33
2 3 3	57.9	30

Cell: 3.946 15.352 9.509 Å, 90.00 90.00 90.00°
Space group Imm2 (No. 44)
One atom of each set of equivalent atoms:
Dy1 0.000 0.000 0.000
Y1 0.000 0.355 0.260
Tm1 0.000 0.130 0.414
Lu1 0.000 0.315 0.619
Cu1 0.000 0.239 0.930
Te1 0.000 0.000 0.660
Te2 0.000 0.500 0.764

***

9.
The following is a simulated X-ray powder pattern of ZrS3. It was derived from DFT lattice parameters and positions (PBE), using Cu Kα (λ = 1.5418 Å).

Peak list (8 most intense, 10 to 90 degrees two-theta, low angle first)
index	two_theta	I/Imax
1 0 -1	19.2	39
1 0 1	20.4	41
0 1 2	31.4	100
1 1 -3	41.6	25
1 1 3	43.4	26
2 1 -1	43.6	20
2 1 1	44.8	21
0 2 0	50.0	18

Cell: 5.163 3.650 9.140 Å, 90.00 94.14 90.00°
Space group P2_1/m (No. 11)
One atom of each set of equivalent atoms:
Zr1 0.226 0.250 0.348
S1 0.005 0.250 0.822
S2 0.259 0.750 0.554
S3 0.396 0.750 0.171

***

10.
The following is a simulated X-ray powder pattern of Ta8W7. It was derived from DFT lattice parameters and positions (PBE), using Cu Kα (λ = 1.5418 Å).

Peak list (8 most intense, 10 to 90 degrees two-theta, low angle first)
index	two_theta	I/Imax
4 1 0	37.1	79
3 3 0	38.2	35
2 0 2	38.6	34
2 1 2	39.7	66
4 1 1	41.0	100
3 3 1	42.0	47
4 1 3	65.6	25
3 3 3	66.4	22

Cell: 9.994 9.994 5.274 Å, 90.00 90.00 90.00°
Space group P4_2/mnm (No. 136)
One atom of each set of equivalent atoms:
Ta1 0.034 0.368 0.000
Ta2 0.184 0.816 0.249
W1 0.000 0.000 0.500
W2 0.065 0.256 0.500
W3 0.101 0.101 0.000

***

11.
The following is a simulated X-ray powder pattern of Zn2Co3Cu3. It was derived from DFT lattice parameters and positions (PBE), using Cu Kα (λ = 1.5418 Å).

Peak list (8 most intense, 10 to 90 degrees two-theta, low angle first)
index	two_theta	I/Imax
2 0 0	40.7	25
2 0 -2	41.1	29
0 2 0	43.5	66
0 1 2	45.8	100
2 1 0	46.5	75
2 1 -2	46.8	67
2 2 -2	61.4	16
0 3 2	81.5	16

Cell: 5.058 4.160 5.151 Å, 90.00 118.88 90.00°
Space group Pm (No. 6)
One atom of each set of equivalent atoms:
Zn1 0.000 0.000 0.000
Zn2 0.340 0.500 0.694
Co1 0.337 0.500 0.192
Co2 0.848 0.500 0.207
Co3 0.987 0.000 0.482
Cu1 0.498 0.000 0.008
Cu2 0.500 0.000 0.502
Cu3 0.836 0.500 0.687

***

12.
The following is a simulated X-ray powder pattern of DyIn4GaIr. It was derived from DFT lattice parameters and positions (PBE), using Cu Kα (λ = 1.5418 Å).

Peak list (8 most intense, 10 to 90 degrees two-theta, low angle first)
index	two_theta	I/Imax
1 0 0	19.2	28
1 0 2	30.9	18
1 1 2	36.7	100
2 0 0	39.1	50
2 1 2	50.6	9
2 2 0	56.4	17
2 0 4	64.4	11
3 1 2	69.2	30

Cell: 4.611 4.611 7.439 Å, 90.00 90.00 90.00°
Space group P4/mmm (No. 123)
One atom of each set of equivalent atoms:
Dy1 0.000 0.000 0.000
In1 0.000 0.500 0.296
Ga1 0.500 0.500 0.000
Ir1 0.000 0.000 0.500